AcV2AsO8: calculated powder X-ray diffraction pattern (λ = 1.5418 Å (Cu Kα)), based on DFT lattice parameters and positions (GGA+U).
Kinematic intensities with the Lorentz-polarization factor, no thermal factor.

Cell and atoms:
a b c (Å): 7.9713 7.9713 7.9713
angles (deg): 36.82 36.82 36.82
Fractional positions:
Ac (0.0000, 0.0000, 0.0000)
V (0.2474, 0.2474, 0.2474)
V (0.7526, 0.7526, 0.7526)
As (0.5000, 0.5000, 0.5000)
O (0.1070, 0.4345, 0.7734)
O (0.2266, 0.5655, 0.8930)
O (0.3248, 0.3248, 0.3248)
O (0.4345, 0.7734, 0.1070)
O (0.5655, 0.8930, 0.2266)
O (0.6752, 0.6752, 0.6752)
O (0.7734, 0.1070, 0.4345)
O (0.8930, 0.2266, 0.5655)

Peak list (6 most intense, 5 to 70 degrees two-theta, by intensity)
25.96°, intensity 1000; 35.66°, intensity 446; 38.37°, intensity 328; 21.89°, intensity 296; 43.43°, intensity 242; 44.63°, intensity 236